Fe5P6WO24: theoretical XRD peak list (CuKα), based on a GGA+U-relaxed structure.
No peak broadening, texture or thermal motion is included.

Largest 8 diffraction maxima, sorted by position, 5° ≤ 2θ ≤ 70°:
hkl 1 1 0, 20.4°, I 100; hkl 1 0 4, 20.7°, I 29; hkl 2 -1 3, 24.1°, I 69; hkl 1 1 6, 32.9°, I 65; hkl 3 0 0, 35.8°, I 39; hkl 3 -2 8, 47.2°, I 28; hkl 4 -2 6, 49.4°, I 25; hkl 4 1 0, 55.9°, I 24

Cell and atoms:
```
data_Fe5P6WO24
_cell_length_a 8.7003
_cell_length_b 8.7003
_cell_length_c 20.9027
_cell_angle_alpha 90.00
_cell_angle_beta 90.00
_cell_angle_gamma 120.00
_space_group_name_H-M_alt 'R 3'
_space_group_IT_number 146
_space_group_name_Hall 'R 3'
loop_
_atom_site_label
_atom_site_type_symbol
_atom_site_fract_x
_atom_site_fract_y
_atom_site_fract_z
_atom_site_occupancy
Fe1 Fe 0.0000 0.0000 0.0000 1
Fe2 Fe 0.0000 0.0000 0.1397 1
Fe3 Fe 0.0000 0.0000 0.5012 1
Fe4 Fe 0.0000 0.0000 0.6439 1
Fe5 Fe 0.0000 0.0000 0.7878 1
P1 P 0.0015 0.2972 0.3962 1
P2 P 0.0457 0.6719 0.5615 1
W1 W 0.0000 0.0000 0.2868 1
O1 O 0.0009 0.8041 0.8336 1
O2 O 0.0071 0.8084 0.9555 1
O3 O 0.0085 0.1979 0.4545 1
O4 O 0.0182 0.1850 0.0681 1
O5 O 0.0187 0.8342 0.5683 1
O6 O 0.1422 0.4687 0.0003 1
O7 O 0.1649 0.6810 0.8893 1
O8 O 0.1684 0.4811 0.3859 1
```